Simulated powder XRD pattern
Compound: ZrBe2Cu9
Radiation: Cu Kα, 1.54184 Å
Structure: a structure optimized by DFT (PBE)
Neutral-atom scattering factors, no anomalous dispersion.

Structure:
```
data_ZrBe2Cu9
_chemical_formula_sum 'Zr4 Be8 Cu36'
_symmetry_space_group_name_H-M 'I 41/a m d'
_symmetry_Int_Tables_number 141
_cell_length_a 9.7503
_cell_length_b 9.7503
_cell_length_c 6.2119
_cell_angle_alpha 90.00
_cell_angle_beta 90.00
_cell_angle_gamma 90.00
loop_
_symmetry_equiv_pos_as_xyz
'x,y,z'
'-x,-y,-z'
'-y+1/4,x+3/4,z+1/4'
'y+1/4,-x+3/4,-z+1/4'
'-x+1/2,-y,z+1/2'
'x+1/2,y,-z+1/2'
'y+1/4,-x+1/4,z+3/4'
'-y+1/4,x+1/4,-z+3/4'
'x,-y,-z'
'-x,y,z'
'-y+1/4,-x+1/4,-z+3/4'
'y+1/4,x+1/4,z+3/4'
'-x+1/2,y,-z+1/2'
'x+1/2,-y,z+1/2'
'y+1/4,x+3/4,-z+1/4'
'-y+1/4,-x+3/4,z+1/4'
'x+1/2,y+1/2,z+1/2'
'-x+1/2,-y+1/2,-z+1/2'
'-y+3/4,x+1/4,z+3/4'
'y+3/4,-x+1/4,-z+3/4'
'-x,-y+1/2,z'
'x,y+1/2,-z'
'y+3/4,-x+3/4,z+1/4'
'-y+3/4,x+3/4,-z+1/4'
'x+1/2,-y+1/2,-z+1/2'
'-x+1/2,y+1/2,z+1/2'
'-y+3/4,-x+3/4,-z+1/4'
'y+3/4,x+3/4,z+1/4'
'-x,y+1/2,-z'
'x,-y+1/2,z'
'y+3/4,x+1/4,-z+3/4'
'-y+3/4,-x+1/4,z+3/4'
loop_
_atom_site_label
_atom_site_fract_x
_atom_site_fract_y
_atom_site_fract_z
Zr1 0.0000 0.2500 0.3750
Be1 0.0000 0.0000 0.0000
Cu1 0.0000 0.2500 0.8750
Cu2 0.1219 0.0500 0.6844
```

Peak list (12 most intense, 5 to 70 degrees two-theta, by angle)
two_theta, intensity, hkl
25.85, 15, 2 2 0
31.06, 21, 3 0 1
34.23, 18, 2 0 2
40.83, 13, 4 1 1
41.26, 100, 3 1 2
41.41, 72, 4 2 0
44.74, 22, 1 0 3
47.41, 19, 4 0 2
48.96, 57, 5 0 1
51.19, 13, 4 2 2
52.39, 11, 3 0 3
62.83, 17, 5 4 1